Record 1
Theoretical X-ray diffraction stick pattern of Ta5AuS for Cu Kα (λ = 1.5418 Å), from the PBE geometry in OQMD.
Kinematic intensities with the Lorentz-polarization factor, no thermal factor.

```
data_Ta5AuS
_chemical_formula_sum 'Ta20 Au4 S4'
_space_group_name_H-M_alt 'P 1'
_space_group_IT_number 1
_cell_length_a 8.9174
_cell_length_b 8.9174
_cell_length_c 8.9174
_cell_angle_alpha 60.00
_cell_angle_beta 60.00
_cell_angle_gamma 60.00
loop_
_space_group_symop_operation_xyz
'x,y,z'
loop_
_atom_site_label
_atom_site_type_symbol
_atom_site_fract_x
_atom_site_fract_y
_atom_site_fract_z
_atom_site_occupancy
Ta1 Ta 0.0272 0.0272 0.4728 1
Ta2 Ta 0.0272 0.4728 0.0272 1
Ta3 Ta 0.0272 0.4728 0.4728 1
Ta4 Ta 0.1463 0.6179 0.6179 1
Ta5 Ta 0.1971 0.1971 0.8029 1
Ta6 Ta 0.1971 0.8029 0.1971 1
Ta7 Ta 0.1971 0.8029 0.8029 1
Ta8 Ta 0.4728 0.0272 0.0272 1
Ta9 Ta 0.4728 0.0272 0.4728 1
Ta10 Ta 0.4728 0.4728 0.0272 1
Ta11 Ta 0.5039 0.8320 0.8320 1
Ta12 Ta 0.6179 0.1463 0.6179 1
Ta13 Ta 0.6179 0.6179 0.1463 1
Ta14 Ta 0.6179 0.6179 0.6179 1
Ta15 Ta 0.8029 0.1971 0.1971 1
Ta16 Ta 0.8029 0.1971 0.8029 1
Ta17 Ta 0.8029 0.8029 0.1971 1
Ta18 Ta 0.8320 0.5039 0.8320 1
Ta19 Ta 0.8320 0.8320 0.5039 1
Ta20 Ta 0.8320 0.8320 0.8320 1
Au1 Au 0.3996 0.3996 0.3996 1
Au2 Au 0.3996 0.3996 0.8011 1
Au3 Au 0.3996 0.8011 0.3996 1
Au4 Au 0.8011 0.3996 0.3996 1
S1 S 0.1313 0.1313 0.1313 1
S2 S 0.1313 0.1313 0.6062 1
S3 S 0.1313 0.6062 0.1313 1
S4 S 0.6062 0.1313 0.1313 1
```

Largest 12 diffraction maxima, in order of rising 2θ, 15° ≤ 2θ ≤ 90°:
d (Å)	Rel. int.
2.574	31
2.427	100
2.229	82
2.132	7
2.102	9
1.642	15
1.486	23
1.456	14
1.376	10
1.267	14
1.237	6
1.219	17


Record 2
Theoretical X-ray diffraction stick pattern of TaTlAu2S4 for Cu Kα (λ = 1.5418 Å), from the PBE geometry in OQMD.
Kinematic intensities with the Lorentz-polarization factor, no thermal factor.

```
data_TaTlAu2S4
_chemical_formula_sum 'Ta2 Tl2 Au4 S8'
_space_group_name_H-M_alt 'P 1'
_space_group_IT_number 1
_cell_length_a 7.8626
_cell_length_b 9.9712
_cell_length_c 9.9712
_cell_angle_alpha 145.61
_cell_angle_beta 90.00
_cell_angle_gamma 90.00
loop_
_space_group_symop_operation_xyz
'x,y,z'
loop_
_atom_site_label
_atom_site_type_symbol
_atom_site_fract_x
_atom_site_fract_y
_atom_site_fract_z
_atom_site_occupancy
Ta1 Ta 0.2500 0.1150 0.8850 1
Ta2 Ta 0.7500 0.8850 0.1150 1
Tl1 Tl 0.2500 0.6613 0.0388 1
Tl2 Tl 0.7500 0.0388 0.6613 1
Au1 Au 0.0000 0.0411 0.0411 1
Au2 Au 0.2500 0.6323 0.3683 1
Au3 Au 0.5000 0.0411 0.0411 1
Au4 Au 0.7500 0.3683 0.6323 1
S1 S 0.0045 0.3419 0.1066 1
S2 S 0.2500 0.0254 0.5851 1
S3 S 0.2500 0.7779 0.7437 1
S4 S 0.4955 0.3419 0.1066 1
S5 S 0.5045 0.1066 0.3419 1
S6 S 0.7500 0.5851 0.0254 1
S7 S 0.7500 0.7437 0.7779 1
S8 S 0.9955 0.1066 0.3419 1
```

Largest 12 diffraction maxima, in order of rising 2θ, 15° ≤ 2θ ≤ 90°:
d (Å)	Rel. int.
5.631	86
4.578	48
3.931	43
3.634	58
3.223	47
3.200	39
3.032	60
2.945	81
2.908	41
2.651	77
2.113	100
1.966	38


Record 3
Theoretical X-ray diffraction stick pattern of TbAuS2 for Cu Kα (λ = 1.5418 Å), from the PBE geometry in OQMD.
Kinematic intensities with the Lorentz-polarization factor, no thermal factor.

```
data_TbAuS2
_chemical_formula_sum 'Tb4 Au4 S8'
_space_group_name_H-M_alt 'P 1'
_space_group_IT_number 1
_cell_length_a 6.0325
_cell_length_b 6.9508
_cell_length_c 7.9039
_cell_angle_alpha 90.00
_cell_angle_beta 90.15
_cell_angle_gamma 90.00
loop_
_space_group_symop_operation_xyz
'x,y,z'
loop_
_atom_site_label
_atom_site_type_symbol
_atom_site_fract_x
_atom_site_fract_y
_atom_site_fract_z
_atom_site_occupancy
Tb1 Tb 0.1627 0.0333 0.2492 1
Tb2 Tb 0.1627 0.4667 0.7492 1
Tb3 Tb 0.8373 0.5333 0.2508 1
Tb4 Tb 0.8373 0.9667 0.7508 1
Au1 Au 0.4917 0.7464 0.9977 1
Au2 Au 0.4917 0.7536 0.4977 1
Au3 Au 0.5083 0.2464 0.5023 1
Au4 Au 0.5083 0.2536 0.0023 1
S1 S 0.0652 0.7491 0.0000 1
S2 S 0.0652 0.7509 0.5000 1
S3 S 0.3731 0.0961 0.7538 1
S4 S 0.3731 0.4039 0.2538 1
S5 S 0.6269 0.5961 0.7462 1
S6 S 0.6269 0.9039 0.2462 1
S7 S 0.9348 0.2491 0.5000 1
S8 S 0.9348 0.2509 0.0000 1
```

Largest 12 diffraction maxima, in order of rising 2θ, 15° ≤ 2θ ≤ 90°:
d (Å)	Rel. int.
3.948	36
3.306	46
3.012	47
2.610	100
2.398	37
2.279	36
2.011	12
1.975	29
1.594	12
1.591	14
1.538	11
1.407	18


Record 4
Theoretical X-ray diffraction stick pattern of Tm3AuS6 for Cu Kα (λ = 1.5418 Å), from the PBE geometry in OQMD.
Kinematic intensities with the Lorentz-polarization factor, no thermal factor.

```
data_Tm3AuS6
_chemical_formula_sum 'Tm3 Au1 S6'
_space_group_name_H-M_alt 'P 1'
_space_group_IT_number 1
_cell_length_a 4.1305
_cell_length_b 6.6461
_cell_length_c 8.4304
_cell_angle_alpha 88.37
_cell_angle_beta 78.06
_cell_angle_gamma 84.63
loop_
_space_group_symop_operation_xyz
'x,y,z'
loop_
_atom_site_label
_atom_site_type_symbol
_atom_site_fract_x
_atom_site_fract_y
_atom_site_fract_z
_atom_site_occupancy
Tm1 Tm 0.0000 0.0000 0.0000 1
Tm2 Tm 0.3637 0.5467 0.2687 1
Tm3 Tm 0.6363 0.4533 0.7313 1
Au1 Au 0.0000 0.0000 0.5000 1
S1 S 0.1617 0.6707 0.5968 1
S2 S 0.1743 0.1720 0.7088 1
S3 S 0.4452 0.2632 0.0337 1
S4 S 0.5548 0.7368 0.9663 1
S5 S 0.8257 0.8280 0.2912 1
S6 S 0.8383 0.3293 0.4032 1
```

Largest 12 diffraction maxima, in order of rising 2θ, 15° ≤ 2θ ≤ 90°:
d (Å)	Rel. int.
3.584	90
3.515	81
3.485	92
3.309	100
3.231	39
2.624	30
2.409	55
2.225	24
2.110	30
2.062	24
2.012	24
1.953	43


Record 5
Theoretical X-ray diffraction stick pattern of SbAu8 for Cu Kα (λ = 1.5418 Å), from the PBE geometry in OQMD.
Kinematic intensities with the Lorentz-polarization factor, no thermal factor.

```
data_SbAu8
_chemical_formula_sum 'Sb2 Au16'
_space_group_name_H-M_alt 'P 1'
_space_group_IT_number 1
_cell_length_a 4.9430
_cell_length_b 4.9430
_cell_length_c 27.1310
_cell_angle_alpha 90.05
_cell_angle_beta 90.05
_cell_angle_gamma 47.88
loop_
_space_group_symop_operation_xyz
'x,y,z'
loop_
_atom_site_label
_atom_site_type_symbol
_atom_site_fract_x
_atom_site_fract_y
_atom_site_fract_z
_atom_site_occupancy
Sb1 Sb 0.0604 0.0604 0.1935 1
Sb2 Sb 0.9396 0.9396 0.8065 1
Au1 Au 0.0478 0.0478 0.5536 1
Au2 Au 0.1480 0.1480 0.6630 1
Au3 Au 0.1489 0.1489 0.3008 1
Au4 Au 0.2426 0.2426 0.7804 1
Au5 Au 0.2529 0.2529 0.4087 1
Au6 Au 0.3481 0.3481 0.5181 1
Au7 Au 0.4456 0.4456 0.2633 1
Au8 Au 0.4471 0.4471 0.6257 1
Au9 Au 0.5529 0.5529 0.3743 1
Au10 Au 0.5544 0.5544 0.7367 1
Au11 Au 0.6519 0.6519 0.4819 1
Au12 Au 0.7471 0.7471 0.5913 1
Au13 Au 0.7574 0.7574 0.2196 1
Au14 Au 0.8511 0.8511 0.6992 1
Au15 Au 0.8520 0.8520 0.3370 1
Au16 Au 0.9522 0.9522 0.4464 1
```

Largest 12 diffraction maxima, in order of rising 2θ, 15° ≤ 2θ ≤ 90°:
d (Å)	Rel. int.
2.489	76
2.372	36
2.328	100
2.166	27
2.085	17
2.021	21
2.006	22
1.472	16
1.423	14
1.255	16
1.217	14
1.211	12


Record 6
Theoretical X-ray diffraction stick pattern of Sb5Au4 for Cu Kα (λ = 1.5418 Å), from the PBE geometry in OQMD.
Kinematic intensities with the Lorentz-polarization factor, no thermal factor.

```
data_Sb5Au4
_chemical_formula_sum 'Sb5 Au4'
_space_group_name_H-M_alt 'P 1'
_space_group_IT_number 1
_cell_length_a 6.2724
_cell_length_b 6.2724
_cell_length_c 6.7897
_cell_angle_alpha 90.00
_cell_angle_beta 90.00
_cell_angle_gamma 90.00
loop_
_space_group_symop_operation_xyz
'x,y,z'
loop_
_atom_site_label
_atom_site_type_symbol
_atom_site_fract_x
_atom_site_fract_y
_atom_site_fract_z
_atom_site_occupancy
Sb1 Sb 0.0000 0.0000 0.0000 1
Sb2 Sb 0.0000 0.5000 0.0000 1
Sb3 Sb 0.0000 0.5000 0.5000 1
Sb4 Sb 0.5000 0.0000 0.0000 1
Sb5 Sb 0.5000 0.0000 0.5000 1
Au1 Au 0.2457 0.2457 0.7363 1
Au2 Au 0.2457 0.7543 0.2637 1
Au3 Au 0.7543 0.2457 0.2637 1
Au4 Au 0.7543 0.7543 0.7363 1
```

Largest 12 diffraction maxima, in order of rising 2θ, 15° ≤ 2θ ≤ 90°:
d (Å)	Rel. int.
4.435	16
3.713	100
2.696	10
2.304	86
2.218	39
2.016	18
1.904	32
1.568	13
1.492	14
1.348	15
1.296	27
1.152	9


What is the formula in the first record?
Ta5AuS